Computed X-ray powder pattern
Compound: Al2Ag5Au6
Radiation: a wavelength of 1.5418 Å
Structure: a cell relaxed with PBE

Most intense lines, 2θ from 10° to 90°, most intense first:
two_theta  d (Å)  I (rel.)  (hkl)
36.4  2.466  100.0  2 3 1
38.3  2.348  71.2  3 2 1
45.4  1.999  38.5  0 0 2
41.6  2.172  32.7  2 4 1
46.4  1.956  27.1  5 1 0
36.0  2.492  22.2  3 1 1
29.6  3.014  20.6  2 1 1
28.2  3.164  19.5  1 2 1
66.9  1.398  18.1  5 1 2
30.8  2.901  17.2  1 4 0
74.9  1.267  14.7  1 9 1
45.8  1.982  14.0  1 6 0

Cell and atoms:
```
Al2Ag5Au6
1.0
9.908 0.000 0.000
0.000 12.138 0.000
0.000 0.000 3.998
Al Ag Au
4 10 12
Direct
0.152 0.238 0.000 Al
0.348 0.738 0.000 Al
0.652 0.262 0.000 Al
0.848 0.762 0.000 Al
0.000 0.500 0.500 Ag
0.057 0.721 0.500 Ag
0.123 0.071 0.500 Ag
0.377 0.571 0.500 Ag
0.443 0.221 0.500 Ag
0.500 0.000 0.500 Ag
0.557 0.779 0.500 Ag
0.623 0.429 0.500 Ag
0.877 0.929 0.500 Ag
0.943 0.279 0.500 Ag
0.077 0.891 0.000 Au
0.179 0.573 0.000 Au
0.216 0.361 0.500 Au
0.284 0.861 0.500 Au
0.321 0.073 0.000 Au
0.423 0.391 0.000 Au
0.577 0.609 0.000 Au
0.679 0.927 0.000 Au
0.716 0.139 0.500 Au
0.784 0.639 0.500 Au
0.821 0.427 0.000 Au
0.923 0.109 0.000 Au
```